ZnBi6P2O14F2: simulated X-ray powder pattern (a wavelength of 1.5418 Å), based on a DFT-relaxed cell (PBE, Alexandria).
Peak positions follow from Bragg's law for the DFT cell and can differ from measured ones.

Crystal structure
```
ZnBi6P2O14F2
1.0
8.464 -2.826 0.000
8.464 2.826 0.000
-6.310 0.000 15.820
Zn Bi P O F
2 12 4 28 4
direct
0.000 0.000 0.000
0.000 0.000 0.500
0.088 0.138 0.826
0.138 0.088 0.326
0.192 0.208 0.165
0.208 0.192 0.665
0.413 0.471 0.828
0.471 0.413 0.328
0.529 0.587 0.672
0.587 0.529 0.172
0.792 0.808 0.335
0.808 0.792 0.835
0.862 0.912 0.674
0.912 0.862 0.174
0.336 0.368 0.992
0.368 0.336 0.492
0.632 0.664 0.508
0.664 0.632 0.008
0.050 0.831 0.892
0.072 0.588 0.742
0.087 0.579 0.248
0.141 0.414 0.924
0.169 0.950 0.608
0.207 0.574 0.457
0.236 0.598 0.055
0.246 0.754 0.250
0.252 0.748 0.750
0.402 0.764 0.445
0.412 0.928 0.758
0.414 0.141 0.424
0.421 0.913 0.252
0.426 0.793 0.043
0.574 0.207 0.957
0.579 0.087 0.748
0.586 0.859 0.576
0.588 0.072 0.242
0.598 0.236 0.555
0.748 0.252 0.250
0.754 0.246 0.750
0.764 0.402 0.945
0.793 0.426 0.543
0.831 0.050 0.392
0.859 0.586 0.076
0.913 0.421 0.752
0.928 0.412 0.258
0.950 0.169 0.108
0.193 0.431 0.553
0.431 0.193 0.053
0.569 0.807 0.947
0.807 0.569 0.447
```

Largest 6 diffraction maxima, by angle, 15° ≤ 2θ ≤ 90°:
3.843 Å, I = 26; 3.229 Å, I = 100; 3.138 Å, I = 92; 2.823 Å, I = 52; 1.996 Å, I = 26; 1.928 Å, I = 26

=====

Pa2BiO6F3: simulated X-ray powder pattern (a wavelength of 1.5418 Å), based on a DFT-relaxed cell (PBE, Alexandria).
Peak positions follow from Bragg's law for the DFT cell and can differ from measured ones.

Crystal structure
```
Pa2BiO6F3
1.0
-1.928 2.816 5.834
1.928 -2.816 5.834
1.928 2.816 -5.834
Pa Bi O F
2 1 6 3
direct
0.169 0.169 0.000
0.831 0.831 0.000
0.500 0.500 0.000
0.094 0.337 0.757
0.259 0.000 0.259
0.420 0.663 0.757
0.580 0.337 0.243
0.741 0.000 0.741
0.906 0.663 0.243
0.000 0.500 0.500
0.311 0.811 0.500
0.689 0.189 0.500
```

Largest 6 diffraction maxima, by angle, 15° ≤ 2θ ≤ 90°:
3.201 Å, I = 100; 3.182 Å, I = 98; 2.816 Å, I = 38; 2.738 Å, I = 70; 1.963 Å, I = 93; 1.690 Å, I = 34

=====

PrBi2O4F: simulated X-ray powder pattern (a wavelength of 1.5418 Å), based on a DFT-relaxed cell (PBE, Alexandria).
Peak positions follow from Bragg's law for the DFT cell and can differ from measured ones.

Crystal structure
```
PrBi2O4F
1.0
3.920 0.000 0.000
0.000 3.920 0.000
0.000 0.000 8.795
Pr Bi O F
1 2 4 1
direct
0.000 0.000 0.000
0.500 0.500 0.298
0.500 0.500 0.702
0.000 0.500 0.171
0.000 0.500 0.829
0.500 0.000 0.171
0.500 0.000 0.829
0.000 0.000 0.500
```

Largest 6 diffraction maxima, by angle, 15° ≤ 2θ ≤ 90°:
3.580 Å, I = 34; 2.927 Å, I = 100; 2.772 Å, I = 39; 2.014 Å, I = 31; 1.960 Å, I = 23; 1.629 Å, I = 41

=====

Ta2BiO6F: simulated X-ray powder pattern (a wavelength of 1.5418 Å), based on a DFT-relaxed cell (PBE, Alexandria).
Peak positions follow from Bragg's law for the DFT cell and can differ from measured ones.

Crystal structure
```
Ta2BiO6F
1.0
-3.682 3.788 5.261
3.682 -3.788 5.261
3.682 3.788 -5.261
Ta Bi O F
4 2 12 2
direct
0.000 0.000 0.000
0.500 0.000 0.000
0.500 0.000 0.500
0.500 0.500 0.500
0.000 0.500 0.500
0.500 0.500 0.000
0.185 0.323 0.267
0.185 0.918 0.861
0.198 0.948 0.250
0.428 0.678 0.750
0.443 0.082 0.767
0.443 0.677 0.361
0.557 0.323 0.639
0.557 0.918 0.233
0.572 0.322 0.250
0.802 0.052 0.750
0.815 0.082 0.139
0.815 0.677 0.733
0.135 0.385 0.750
0.865 0.615 0.250
```

Largest 6 diffraction maxima, by angle, 15° ≤ 2θ ≤ 90°:
3.074 Å, I = 100; 3.017 Å, I = 97; 2.640 Å, I = 47; 1.864 Å, I = 59; 1.604 Å, I = 31; 1.580 Å, I = 29

=====

TlBiO2F: simulated X-ray powder pattern (a wavelength of 1.5418 Å), based on a DFT-relaxed cell (PBE, Alexandria).
Peak positions follow from Bragg's law for the DFT cell and can differ from measured ones.

Crystal structure
```
TlBiO2F
1.0
4.371 0.000 0.000
0.000 4.371 0.000
0.000 0.000 4.665
Tl Bi O F
1 1 2 1
direct
0.000 0.000 0.000
0.500 0.500 0.500
0.000 0.500 0.500
0.500 0.000 0.500
0.500 0.500 0.000
```

Largest 6 diffraction maxima, by angle, 15° ≤ 2θ ≤ 90°:
3.190 Å, I = 100; 3.091 Å, I = 48; 2.186 Å, I = 25; 1.862 Å, I = 23; 1.803 Å, I = 41; 1.595 Å, I = 19